# 1
# V3Ni2H
Theoretical powder diffraction line list, Cu Kα (λ = 1.5418 Å). Input: a cell relaxed with GGA-PBE.

Top 12 peaks for 2θ = 10–80°, low angle first:
19.8 deg, rel. 89
24.4 deg, rel. 48
40.3 deg, rel. 85
42.9 deg, rel. 1000
45.3 deg, rel. 541
47.7 deg, rel. 411
52.1 deg, rel. 43
54.2 deg, rel. 123
62.2 deg, rel. 54
66.0 deg, rel. 27
75.0 deg, rel. 28
76.8 deg, rel. 292

Structural model:
```
V3Ni2H
1.0
6.3284 0.0000 0.0000
0.0000 6.3284 0.0000
0.0000 0.0000 6.3284
V Ni H
12 8 4
Cartesian
0.3552 0.7911 5.1016 V
0.7911 5.1016 0.3552 V
1.2269 3.5194 2.3732 V
1.9373 2.8090 5.5374 V
2.3732 1.2269 3.5194 V
2.8090 5.5374 1.9373 V
3.5194 2.3732 1.2269 V
3.9553 4.3911 5.9732 V
4.3911 5.9732 3.9553 V
5.1016 0.3552 0.7911 V
5.5374 1.9373 2.8090 V
5.9732 3.9553 4.3911 V
0.3442 5.9842 2.8200 Ni
1.2379 1.2379 1.2379 Ni
1.9264 5.0906 4.4021 Ni
2.8200 0.3442 5.9842 Ni
3.5085 3.5085 3.5085 Ni
4.4021 1.9264 5.0906 Ni
5.0906 4.4021 1.9264 Ni
5.9842 2.8200 0.3442 Ni
0.7911 2.3732 3.9553 H
2.3732 3.9553 0.7911 H
3.9553 0.7911 2.3732 H
5.5374 5.5374 5.5374 H
```

# 2
# Y3NiH
Theoretical powder diffraction line list, Cu Kα (λ = 1.5418 Å). Input: a cell relaxed with GGA-PBE.

Top 9 peaks for 2θ = 10–80°, low angle first:
18.9 deg, rel. 21
26.8 deg, rel. 13
33.0 deg, rel. 1000
38.3 deg, rel. 503
43.0 deg, rel. 9
47.4 deg, rel. 6
55.3 deg, rel. 333
65.9 deg, rel. 379
69.2 deg, rel. 109

Structural model:
```
Y3NiH
1.0
4.7010 0.0000 0.0000
0.0000 4.7010 0.0000
0.0000 0.0000 4.7010
Y Ni H
3 1 1
Cartesian
0.0000 0.0000 2.3505 Y
0.0000 2.3505 0.0000 Y
2.3505 0.0000 0.0000 Y
2.3505 2.3505 2.3505 Ni
0.0000 0.0000 0.0000 H
```

# 3
# YNi5H11
Theoretical powder diffraction line list, Cu Kα (λ = 1.5418 Å). Input: a cell relaxed with GGA-PBE.

Top 12 peaks for 2θ = 10–80°, low angle first:
21.5 deg, rel. 638
27.0 deg, rel. 1000
29.6 deg, rel. 274
30.3 deg, rel. 400
34.9 deg, rel. 348
36.3 deg, rel. 683
38.1 deg, rel. 476
38.4 deg, rel. 458
42.2 deg, rel. 530
45.2 deg, rel. 486
53.1 deg, rel. 452
54.8 deg, rel. 248

Structural model:
```
YNi5H11
1.0
3.0123 -4.3769 0.0000
3.0123 4.3769 0.0000
-1.9563 0.0000 5.0261
Y Ni H
1 5 11
Cartesian
0.0000 0.0000 0.0000 Y
0.0230 1.2916 3.2203 Ni
0.0230 -1.2916 3.2203 Ni
3.0123 0.0000 0.0000 Ni
4.0452 1.2916 1.8058 Ni
4.0452 -1.2916 1.8058 Ni
-0.9782 0.0000 2.5130 H
1.2491 2.5000 3.3246 H
-0.0044 1.2250 4.8486 H
2.8191 2.5000 1.7015 H
1.1742 0.0000 3.3680 H
-0.0044 -1.2250 4.8486 H
4.0726 1.2250 0.1774 H
2.8940 0.0000 1.6581 H
1.2491 -2.5000 3.3246 H
4.0726 -1.2250 0.1774 H
2.8191 -2.5000 1.7015 H
```

# 4
# Y2Ni16H
Theoretical powder diffraction line list, Cu Kα (λ = 1.5418 Å). Input: a cell relaxed with GGA-PBE.

Top 12 peaks for 2θ = 10–80°, low angle first:
21.4 deg, rel. 116
31.1 deg, rel. 243
37.5 deg, rel. 228
39.2 deg, rel. 136
43.6 deg, rel. 454
44.1 deg, rel. 1000
45.6 deg, rel. 437
49.5 deg, rel. 422
50.9 deg, rel. 101
63.7 deg, rel. 104
64.9 deg, rel. 142
72.2 deg, rel. 174

Structural model:
```
Y2Ni16H
1.0
4.1536 2.3981 3.9809
-4.1536 2.3981 3.9809
0.0000 -4.7961 3.9809
Y Ni H
2 16 1
Cartesian
0.0000 0.0000 0.0000 Y
0.0000 0.0000 3.8972 Y
0.0000 -2.3899 2.1516 Ni
-2.0697 1.1949 2.1516 Ni
-2.0482 -1.1825 5.9812 Ni
0.0000 -2.3904 5.8326 Ni
-2.0702 1.1952 5.8326 Ni
-1.2305 -2.1260 7.9830 Ni
-2.4564 -0.0026 7.9830 Ni
2.0697 1.1949 2.1516 Ni
0.0000 0.0000 7.0657 Ni
2.0482 -1.1825 5.9812 Ni
0.0000 2.3651 5.9812 Ni
1.2305 -2.1260 7.9829 Ni
-1.2260 2.1286 7.9829 Ni
2.0702 1.1952 5.8327 Ni
2.4564 -0.0026 7.9829 Ni
1.2260 2.1286 7.9829 Ni
0.0000 0.0000 8.5709 H
```

# 5
# ZnNi4H2
Theoretical powder diffraction line list, Cu Kα (λ = 1.5418 Å). Input: a cell relaxed with GGA-PBE.

Top 12 peaks for 2θ = 10–80°, low angle first:
35.8 deg, rel. 84
40.8 deg, rel. 455
42.3 deg, rel. 419
44.7 deg, rel. 1000
45.7 deg, rel. 566
47.2 deg, rel. 136
51.1 deg, rel. 109
53.3 deg, rel. 78
54.9 deg, rel. 76
58.6 deg, rel. 153
65.5 deg, rel. 76
71.2 deg, rel. 111

Structural model:
```
ZnNi4H2
1.0
1.3242 -4.7185 0.0000
1.3242 4.7185 0.0000
0.0000 0.0000 10.0281
Zn Ni H
2 8 4
Cartesian
1.3242 3.9265 7.5211 Zn
1.3242 -3.9265 2.5070 Zn
0.0000 0.0000 0.0000 Ni
0.0000 0.0000 5.0141 Ni
1.3242 2.1425 0.9915 Ni
1.3242 2.1425 4.0226 Ni
1.3242 1.2061 7.5211 Ni
1.3242 -1.2061 2.5070 Ni
1.3242 -2.1425 6.0055 Ni
1.3242 -2.1425 9.0367 Ni
1.3242 1.1943 5.5022 H
1.3242 1.1943 9.5399 H
1.3242 -1.1943 0.4882 H
1.3242 -1.1943 4.5259 H
```

# 6
# ZrNiH3
Theoretical powder diffraction line list, Cu Kα (λ = 1.5418 Å). Input: a cell relaxed with GGA-PBE.

Top 12 peaks for 2θ = 10–80°, low angle first:
26.3 deg, rel. 135
33.3 deg, rel. 166
33.7 deg, rel. 1000
35.6 deg, rel. 436
39.4 deg, rel. 450
41.4 deg, rel. 420
41.5 deg, rel. 311
51.7 deg, rel. 170
55.9 deg, rel. 250
66.2 deg, rel. 141
66.8 deg, rel. 183
68.4 deg, rel. 137

Structural model:
```
ZrNiH3
1.0
1.7685 -5.3871 0.0000
1.7685 5.3871 0.0000
0.0000 0.0000 4.3469
Zr Ni H
2 2 6
Cartesian
1.7685 3.7578 3.2602 Zr
1.7685 -3.7578 1.0867 Zr
1.7685 0.7401 3.2602 Ni
1.7685 -0.7401 1.0867 Ni
0.7336 0.0000 2.1735 H
1.7495 1.9938 0.0065 H
1.7875 1.9938 2.1670 H
1.7495 -1.9938 4.3404 H
1.7875 -1.9938 2.1800 H
2.8034 0.0000 0.0000 H
```